Computed powder XRD pattern
Compound: KBaMg6
Radiation: a wavelength of 1.5418 Å
Structure: a structure optimized by DFT (PBE)

Largest 8 diffraction maxima, sorted by position, 10° ≤ 2θ ≤ 90°:
d = 6.278 Å, 2θ = 14.1°, I 71; d = 4.136 Å, 2θ = 21.5°, I 67; d = 3.134 Å, 2θ = 28.5°, I 28; d = 2.748 Å, 2θ = 32.6°, I 33; d = 2.734 Å, 2θ = 32.8°, I 48; d = 2.723 Å, 2θ = 32.9°, I 100; d = 1.582 Å, 2θ = 58.3°, I 27; d = 1.515 Å, 2θ = 61.2°, I 28

Atomic structure:
Lattice parameters (Å, degrees): 5.4959 7.2642 7.2642 59.65 90.00 90.00
Element x y z (fractional)
1 K 0.0000 0.0000 0.0000
2 Ba 0.5000 0.8213 0.8213
3 Mg 0.0000 0.0073 0.4689
4 Mg 0.0000 0.4689 0.0073
5 Mg 0.0000 0.4904 0.4904
6 Mg 0.5000 0.3225 0.3225
7 Mg 0.5000 0.3444 0.8128
8 Mg 0.5000 0.8128 0.3444


Computed powder XRD pattern
Compound: KBaMg6
Radiation: a wavelength of 1.5418 Å
Structure: a structure optimized by DFT (PBE)

Largest 8 diffraction maxima, sorted by position, 10° ≤ 2θ ≤ 90°:
d = 6.209 Å, 2θ = 14.3°, I 43; d = 5.236 Å, 2θ = 16.9°, I 27; d = 4.209 Å, 2θ = 21.1°, I 57; d = 4.003 Å, 2θ = 22.2°, I 31; d = 3.104 Å, 2θ = 28.8°, I 48; d = 2.931 Å, 2θ = 30.5°, I 73; d = 2.670 Å, 2θ = 33.6°, I 100; d = 2.618 Å, 2θ = 34.3°, I 40

Atomic structure:
Lattice parameters (Å, degrees): 5.2358 7.8730 7.8730 52.05 90.00 90.00
Element x y z (fractional)
1 K 0.0000 0.0000 0.0000
2 Ba 0.0000 0.4960 0.4960
3 Mg 0.0000 0.5022 0.9884
4 Mg 0.0000 0.9884 0.5022
5 Mg 0.5000 0.1175 0.6138
6 Mg 0.5000 0.1793 0.1793
7 Mg 0.5000 0.6138 0.1175
8 Mg 0.5000 0.6783 0.6783


Computed powder XRD pattern
Compound: KBaN3
Radiation: a wavelength of 1.5418 Å
Structure: a structure optimized by DFT (PBE)

Largest 8 diffraction maxima, sorted by position, 10° ≤ 2θ ≤ 90°:
d = 6.438 Å, 2θ = 13.8°, I 100; d = 5.236 Å, 2θ = 16.9°, I 73; d = 4.043 Å, 2θ = 22.0°, I 37; d = 3.460 Å, 2θ = 25.8°, I 54; d = 3.327 Å, 2θ = 26.8°, I 51; d = 2.989 Å, 2θ = 29.9°, I 48; d = 2.912 Å, 2θ = 30.7°, I 92; d = 2.086 Å, 2θ = 43.4°, I 69

Atomic structure:
Lattice parameters (Å, degrees): 14.0611 13.3422 7.1951 80.38 69.32 30.30
Element x y z (fractional)
1 K 0.0000 0.0000 0.0000
2 K 0.1592 0.1592 0.8408
3 K 0.2500 0.2500 0.2500
4 K 0.8408 0.8408 0.1592
5 Ba 0.5000 0.5000 0.5000
6 Ba 0.5795 0.5795 0.9205
7 Ba 0.7500 0.7500 0.7500
8 Ba 0.9205 0.9205 0.5795
9 N 0.0137 0.6511 0.4377
10 N 0.1466 0.7090 0.7982
11 N 0.2681 0.7319 0.2681
12 N 0.3462 0.7982 0.7090
13 N 0.4377 0.8974 0.0137
14 N 0.5140 0.9860 0.5140
15 N 0.6511 0.0137 0.8974
16 N 0.7090 0.1466 0.3462
17 N 0.7319 0.2681 0.7319
18 N 0.7982 0.3462 0.1466
19 N 0.8974 0.4377 0.6511
20 N 0.9860 0.5140 0.9860


What did the second record say?
Computed powder XRD pattern
Compound: KBaMg6
Radiation: a wavelength of 1.5418 Å
Structure: a structure optimized by DFT (PBE)

Largest 8 diffraction maxima, sorted by position, 10° ≤ 2θ ≤ 90°:
d = 6.209 Å, 2θ = 14.3°, I 43; d = 5.236 Å, 2θ = 16.9°, I 27; d = 4.209 Å, 2θ = 21.1°, I 57; d = 4.003 Å, 2θ = 22.2°, I 31; d = 3.104 Å, 2θ = 28.8°, I 48; d = 2.931 Å, 2θ = 30.5°, I 73; d = 2.670 Å, 2θ = 33.6°, I 100; d = 2.618 Å, 2θ = 34.3°, I 40

Atomic structure:
Lattice parameters (Å, degrees): 5.2358 7.8730 7.8730 52.05 90.00 90.00
Element x y z (fractional)
1 K 0.0000 0.0000 0.0000
2 Ba 0.0000 0.4960 0.4960
3 Mg 0.0000 0.5022 0.9884
4 Mg 0.0000 0.9884 0.5022
5 Mg 0.5000 0.1175 0.6138
6 Mg 0.5000 0.1793 0.1793
7 Mg 0.5000 0.6138 0.1175
8 Mg 0.5000 0.6783 0.6783


- Which formula does entry 3 have?
  KBaN3